Diffraction record for La3Tl2Ag4. The X-ray diffraction stick pattern is simulated, not measured: it uses the GGA-PBE geometry in Alexandria and Cu Kα, 1.54184 Å.
Kinematic intensities with the Lorentz-polarization factor, no thermal factor.

Most intense lines, 5° ≤ 2θ ≤ 70°, by intensity:
2θ/deg, d/Å, I/Imax, hkl
32.3, 2.772, 100, 3 1 0
35.8, 2.507, 70, 3 1 -3
36.2, 2.484, 34, 0 2 0
32.1, 2.789, 18, 4 0 -1
49.2, 1.851, 13, 0 2 3
24.6, 3.617, 12, 2 0 1
62.1, 1.494, 12, 6 2 -3
64.8, 1.438, 12, 3 3 -3
62.6, 1.484, 12, 3 3 0
50.5, 1.808, 12, 4 0 2

Atomic structure:
```
data_La3Tl2Ag4
_cell_length_a 11.352
_cell_length_b 4.968
_cell_length_c 9.413
_cell_angle_alpha 90.00
_cell_angle_beta 117.84
_cell_angle_gamma 90.00
_space_group_name_H-M_alt 'C 1 2/m 1'
_space_group_IT_number 12
_space_group_name_Hall '-C 2y'
loop_
_atom_site_label
_atom_site_type_symbol
_atom_site_fract_x
_atom_site_fract_y
_atom_site_fract_z
La1 La 0.000 0.000 0.000
La2 La 0.161 0.500 0.675
Tl1 Tl 0.123 0.500 0.288
Ag1 Ag 0.068 0.000 0.406
Ag2 Ag 0.221 0.500 0.050
```